# CaAg3
Theoretical powder X-ray diffraction pattern, Cu Kα, 1.54184 Å. Input: a structure optimized by DFT (PBE).
No peak broadening, texture or thermal motion is included.

Structure:
```
data_CaAg3
_chemical_formula_sum 'Ca4 Ag12'
_symmetry_space_group_name_H-M 'F m -3 m'
_symmetry_Int_Tables_number 225
_symmetry_space_group_name_Hall '-F 4 2 3'
_cell_length_a 6.9868
_cell_length_b 6.9868
_cell_length_c 6.9868
_cell_angle_alpha 90.00
_cell_angle_beta 90.00
_cell_angle_gamma 90.00
loop_
_atom_site_label
_atom_site_type_symbol
_atom_site_fract_x
_atom_site_fract_y
_atom_site_fract_z
Ca1 Ca 0.0000 0.0000 0.0000
Ag1 Ag 0.0000 0.0000 0.5000
Ag2 Ag 0.2500 0.2500 0.2500
```

Top 10 peaks for 10 to 90 degrees two-theta, low angle first:
h k l, 2θ (°), I/Imax
1 1 1, 22.04, 8.0
2 0 0, 25.50, 4.3
2 2 0, 36.37, 100.0
3 1 1, 42.93, 4.3
4 0 0, 52.38, 16.6
3 3 1, 57.50, 1.8
4 2 0, 59.14, 1.6
4 2 2, 65.44, 32.7
4 4 0, 77.24, 10.0
6 2 0, 88.51, 14.6